Diffraction record for Ho6TmSc2. The powder diffractogram is computed, not measured: it uses the GGA-PBE geometry in Alexandria and Cu Kα (weighted mean of Kα1 and Kα2).
No peak broadening, texture or thermal motion is included.

Peak list (8 most intense, 10 to 90 degrees two-theta, sorted by position)
hkl  2θ/deg  d/Å  I (rel.)
5 1 1  32.38  2.765  100
6 2 0  32.47  2.757  50
2 0 -2  32.58  2.748  49
1 3 -1  32.87  2.725  99
4 2 2  46.67  1.946  36
3 3 -3  58.32  1.582  36
5 5 1  58.49  1.578  19
11 3 1  64.58  1.443  27

Crystal structure
Cell lengths 21.1372, 9.4132, 5.4960 Å; angles 90.00, 105.02, 90.00 degrees
Space group C2/c (No. 15)
Unique sites:
Ho  0.0859  0.0830  0.3168
Ho  0.0859  0.4171  0.3560
Ho  0.1693  0.2501  0.9195
Tm  0.0000  0.2499  0.7500
Sc  0.2500  0.0830  0.5161